The following is a calculated powder XRD pattern of CrPt2PbF. It was derived from a DFT-relaxed cell (PBE+U, Alexandria), using a wavelength of 1.5418 Å.
Peak positions follow from Bragg's law for the DFT cell and can differ from measured ones.

Crystal structure
```
5
Lattice="4.565 0.000 0.000 0.000 4.565 0.000 0.000 0.000 4.684" Properties=species:S:1:pos:R:3 pbc="T T T"
Cr 0.000 0.000 0.000
Pt 0.000 2.283 2.342
Pt 2.283 0.000 2.342
Pb 2.283 2.283 0.000
F 2.283 2.283 2.342
```

The 12 most intense peaks (2θ = 10–90°), by intensity:
h k l  two_theta  d (Å)  Rel. int.
1 1 1  33.72  2.658  100
2 0 0  39.48  2.283  37
3 1 1  67.94  1.380  27
2 0 2  56.28  1.635  26
0 0 2  38.44  2.342  20
1 1 3  66.53  1.406  14
1 0 0  19.44  4.565  14
2 2 2  70.91  1.329  13
2 2 0  57.06  1.614  13
1 0 1  27.28  3.269  7
0 0 1  18.95  4.684  6
4 0 0  84.98  1.141  4